[1]
Computed powder X-ray diffraction pattern
Compound: LaGdBiO2
Radiation: Cu Kα (weighted mean of Kα1 and Kα2)
Structure: a structure optimized by DFT (GGA-PBE)
Intensities are scaled so that the largest is 100.

Cell and atoms:
```
data_LaGdBiO2
_chemical_formula_sum 'La2 Gd2 Bi2 O4'
_space_group_name_H-M_alt 'I 4 m m'
_space_group_IT_number 107
_space_group_name_Hall 'I 4 -2'
_cell_length_a 3.9717
_cell_length_b 3.9717
_cell_length_c 13.8197
_cell_angle_alpha 90.00
_cell_angle_beta 90.00
_cell_angle_gamma 90.00
loop_
_atom_site_label
_atom_site_type_symbol
_atom_site_fract_x
_atom_site_fract_y
_atom_site_fract_z
La1 La 0.0000 0.0000 0.0000
Gd1 Gd 0.0000 0.0000 0.6702
Bi1 Bi 0.0000 0.0000 0.3312
O1 O 0.0000 0.5000 0.0909
```

Largest 8 diffraction maxima, low angle first, 10° ≤ 2θ ≤ 80°:
- 29.7 deg, intensity 100.0, hkl 1 0 3
- 31.9 deg, intensity 36.2, hkl 1 1 0
- 39.1 deg, intensity 10.5, hkl 0 0 6
- 45.7 deg, intensity 17.5, hkl 2 0 0
- 51.3 deg, intensity 24.6, hkl 1 1 6
- 55.4 deg, intensity 35.3, hkl 2 1 3
- 61.7 deg, intensity 11.5, hkl 2 0 6
- 65.1 deg, intensity 10.7, hkl 1 0 9

---

[2]
Computed powder X-ray diffraction pattern
Compound: LaGdBi2Te2
Radiation: Cu Kα (weighted mean of Kα1 and Kα2)
Structure: a structure optimized by DFT (GGA-PBE)
Intensities are scaled so that the largest is 100.

Cell and atoms:
```
data_LaGdBi2Te2
_chemical_formula_sum 'La1 Gd1 Bi2 Te2'
_space_group_name_H-M_alt 'P 4 m m'
_space_group_IT_number 99
_cell_length_a 4.4603
_cell_length_b 4.4603
_cell_length_c 9.5363
_cell_angle_alpha 90.00
_cell_angle_beta 90.00
_cell_angle_gamma 90.00
loop_
_space_group_symop_operation_xyz
'x,y,z'
'-y,x,z'
'-x,-y,z'
'y,-x,z'
'-x,y,z'
'y,x,z'
'x,-y,z'
'-y,-x,z'
loop_
_atom_site_label
_atom_site_type_symbol
_atom_site_fract_x
_atom_site_fract_y
_atom_site_fract_z
La1 La 0.0000 0.0000 0.0000
Gd1 Gd 0.5000 0.5000 0.4292
Bi1 Bi 0.0000 0.5000 0.7096
Te1 Te 0.0000 0.0000 0.3467
Te2 Te 0.5000 0.5000 0.0918
```

Largest 8 diffraction maxima, low angle first, 10° ≤ 2θ ≤ 80°:
- 28.1 deg, intensity 41.5, hkl 0 0 3
- 29.8 deg, intensity 100.0, hkl 1 1 1
- 34.1 deg, intensity 78.5, hkl 1 1 2
- 34.7 deg, intensity 25.0, hkl 1 0 3
- 40.4 deg, intensity 47.7, hkl 2 0 0
- 50.0 deg, intensity 34.6, hkl 2 0 3
- 67.1 deg, intensity 20.4, hkl 3 1 1
- 69.5 deg, intensity 20.5, hkl 3 1 2

---

[3]
Computed powder X-ray diffraction pattern
Compound: Li4GdBiO6
Radiation: Cu Kα (weighted mean of Kα1 and Kα2)
Structure: a structure optimized by DFT (GGA-PBE)
Intensities are scaled so that the largest is 100.

Cell and atoms:
```
data_Li4GdBiO6
_chemical_formula_sum 'Li8 Gd2 Bi2 O12'
_space_group_name_H-M_alt 'C 1 2 1'
_space_group_IT_number 5
_cell_length_a 5.5193
_cell_length_b 9.6653
_cell_length_c 5.2864
_cell_angle_alpha 90.00
_cell_angle_beta 109.33
_cell_angle_gamma 90.00
loop_
_space_group_symop_operation_xyz
'x,y,z'
'-x,y,-z'
'x+1/2,y+1/2,z'
'-x+1/2,y+1/2,-z'
loop_
_atom_site_label
_atom_site_type_symbol
_atom_site_fract_x
_atom_site_fract_y
_atom_site_fract_z
Li1 Li 0.0000 0.0000 0.0000
Li2 Li 0.0000 0.1405 0.5000
Li3 Li 0.0000 0.3019 0.0000
Li4 Li 0.0000 0.6169 0.0000
Gd1 Gd 0.0000 0.8068 0.5000
Bi1 Bi 0.0000 0.4739 0.5000
O1 O 0.2293 0.3161 0.7479
O2 O 0.2394 0.4784 0.2578
O3 O 0.2393 0.6308 0.7495
```

Largest 8 diffraction maxima, low angle first, 10° ≤ 2θ ≤ 80°:
- 17.8 deg, intensity 100.0, hkl 0 0 1
- 18.4 deg, intensity 24.8, hkl 0 2 0
- 19.4 deg, intensity 44.5, hkl 1 1 0
- 22.2 deg, intensity 32.4, hkl 1 1 -1
- 32.7 deg, intensity 44.6, hkl 1 3 0
- 33.1 deg, intensity 22.8, hkl 2 0 -1
- 34.5 deg, intensity 38.2, hkl 2 0 0
- 40.2 deg, intensity 47.6, hkl 1 3 1

---

[4]
Computed powder X-ray diffraction pattern
Compound: Gd2LuBi3
Radiation: Cu Kα (weighted mean of Kα1 and Kα2)
Structure: a structure optimized by DFT (GGA-PBE)
Intensities are scaled so that the largest is 100.

Cell and atoms:
```
data_Gd2LuBi3
_chemical_formula_sum 'Gd2 Lu1 Bi3'
_space_group_name_H-M_alt 'P -3 m 1'
_space_group_IT_number 164
_space_group_name_Hall '-P 3 2"'
_cell_length_a 4.4603
_cell_length_b 4.4603
_cell_length_c 10.9387
_cell_angle_alpha 90.00
_cell_angle_beta 90.00
_cell_angle_gamma 120.00
loop_
_atom_site_label
_atom_site_type_symbol
_atom_site_fract_x
_atom_site_fract_y
_atom_site_fract_z
Gd1 Gd 0.3333 0.6667 0.3310
Lu1 Lu 0.0000 0.0000 0.0000
Bi1 Bi 0.0000 0.0000 0.5000
Bi2 Bi 0.3333 0.6667 0.8392
```

Largest 8 diffraction maxima, low angle first, 10° ≤ 2θ ≤ 80°:
- 24.4 deg, intensity 2.7, hkl 0 1 1
- 28.3 deg, intensity 100.0, hkl 1 0 2
- 40.4 deg, intensity 78.1, hkl 1 1 0
- 47.8 deg, intensity 1.8, hkl 2 0 1
- 50.1 deg, intensity 28.3, hkl 0 2 2
- 58.5 deg, intensity 13.4, hkl 2 0 4
- 66.2 deg, intensity 37.0, hkl 2 1 2
- 73.5 deg, intensity 27.5, hkl 3 0 0

---

[5]
Computed powder X-ray diffraction pattern
Compound: GdBiN2O
Radiation: Cu Kα (weighted mean of Kα1 and Kα2)
Structure: a structure optimized by DFT (GGA-PBE)
Intensities are scaled so that the largest is 100.

Cell and atoms:
```
data_GdBiN2O
_chemical_formula_sum 'Gd4 Bi4 N8 O4'
_space_group_name_H-M_alt 'C 1 2/m 1'
_space_group_IT_number 12
_cell_length_a 8.3835
_cell_length_b 8.7200
_cell_length_c 5.9729
_cell_angle_alpha 90.00
_cell_angle_beta 132.73
_cell_angle_gamma 90.00
loop_
_space_group_symop_operation_xyz
'x,y,z'
'-x,-y,-z'
'-x,y,-z'
'x,-y,z'
'x+1/2,y+1/2,z'
'-x+1/2,-y+1/2,-z'
'-x+1/2,y+1/2,-z'
'x+1/2,-y+1/2,z'
loop_
_atom_site_label
_atom_site_type_symbol
_atom_site_fract_x
_atom_site_fract_y
_atom_site_fract_z
Gd1 Gd 0.1798 0.0000 0.4483
Bi1 Bi 0.2500 0.2500 0.0000
N1 N 0.0000 0.1781 0.5000
N2 N 0.0455 0.5000 0.9423
O1 O 0.0000 0.1454 0.0000
```

Largest 8 diffraction maxima, low angle first, 10° ≤ 2θ ≤ 80°:
- 28.9 deg, intensity 96.8, hkl 0 2 1
- 29.0 deg, intensity 28.9, hkl 2 0 0
- 29.6 deg, intensity 100.0, hkl 2 2 -1
- 30.0 deg, intensity 40.6, hkl 2 0 -2
- 41.1 deg, intensity 22.8, hkl 0 0 2
- 41.4 deg, intensity 21.2, hkl 0 4 0
- 52.0 deg, intensity 23.6, hkl 2 4 -2
- 52.1 deg, intensity 22.7, hkl 2 2 -3

---

[6]
Computed powder X-ray diffraction pattern
Compound: GdBiNO
Radiation: Cu Kα (weighted mean of Kα1 and Kα2)
Structure: a structure optimized by DFT (GGA-PBE)
Intensities are scaled so that the largest is 100.

Cell and atoms:
```
data_GdBiNO
_chemical_formula_sum 'Gd4 Bi4 N4 O4'
_space_group_name_H-M_alt 'P c a 21'
_space_group_IT_number 29
_cell_length_a 5.8683
_cell_length_b 8.3830
_cell_length_c 5.8060
_cell_angle_alpha 90.00
_cell_angle_beta 90.00
_cell_angle_gamma 90.00
loop_
_space_group_symop_operation_xyz
'x,y,z'
'-x,-y,z+1/2'
'-x+1/2,y,z+1/2'
'x+1/2,-y,z'
loop_
_atom_site_label
_atom_site_type_symbol
_atom_site_fract_x
_atom_site_fract_y
_atom_site_fract_z
Gd1 Gd 0.0083 0.1213 0.0000
Bi1 Bi 0.0067 0.6284 0.0102
N1 N 0.0930 0.6173 0.5876
O1 O 0.2480 0.9915 0.2505
```

Largest 8 diffraction maxima, low angle first, 10° ≤ 2θ ≤ 80°:
- 30.4 deg, intensity 100.0, hkl 1 2 1
- 30.8 deg, intensity 19.5, hkl 0 0 2
- 43.9 deg, intensity 17.3, hkl 2 0 2
- 53.8 deg, intensity 9.6, hkl 2 4 0
- 54.0 deg, intensity 9.6, hkl 0 4 2
- 54.1 deg, intensity 17.2, hkl 3 2 1
- 54.5 deg, intensity 16.8, hkl 1 2 3
- 63.2 deg, intensity 10.1, hkl 2 4 2

---

[7]
Computed powder X-ray diffraction pattern
Compound: GdBiN2O
Radiation: Cu Kα (weighted mean of Kα1 and Kα2)
Structure: a structure optimized by DFT (GGA-PBE)
Intensities are scaled so that the largest is 100.

Cell and atoms:
```
data_GdBiN2O
_chemical_formula_sum 'Gd8 Bi8 N16 O8'
_space_group_name_H-M_alt 'P 1 21/c 1'
_space_group_IT_number 14
_cell_length_a 8.2563
_cell_length_b 8.1802
_cell_length_c 11.6763
_cell_angle_alpha 90.00
_cell_angle_beta 132.90
_cell_angle_gamma 90.00
loop_
_space_group_symop_operation_xyz
'x,y,z'
'-x,-y,-z'
'-x,y+1/2,-z+1/2'
'x,-y+1/2,z+1/2'
loop_
_atom_site_label
_atom_site_type_symbol
_atom_site_fract_x
_atom_site_fract_y
_atom_site_fract_z
Gd1 Gd 0.0499 0.2294 0.0276
Gd2 Gd 0.4381 0.7242 0.4811
Bi1 Bi 0.0265 0.0051 0.2705
Bi2 Bi 0.4920 0.5093 0.2344
N1 N 0.0717 0.7434 0.7210
N2 N 0.1967 0.5914 0.0022
N3 N 0.2894 0.1039 0.2937
N4 N 0.4333 0.2424 0.6496
O1 O 0.1916 0.5454 0.5040
O2 O 0.3297 0.0298 0.8313
```

Largest 8 diffraction maxima, low angle first, 10° ≤ 2θ ≤ 80°:
- 29.5 deg, intensity 45.4, hkl 2 0 0
- 30.2 deg, intensity 100.0, hkl 0 2 2
- 30.6 deg, intensity 48.4, hkl 2 0 -4
- 30.8 deg, intensity 95.4, hkl 2 2 -2
- 42.3 deg, intensity 20.2, hkl 0 0 4
- 44.3 deg, intensity 19.6, hkl 0 4 0
- 53.9 deg, intensity 21.8, hkl 2 2 -6
- 54.9 deg, intensity 39.9, hkl 4 2 -6

---

[8]
Computed powder X-ray diffraction pattern
Compound: GdBiN2O
Radiation: Cu Kα (weighted mean of Kα1 and Kα2)
Structure: a structure optimized by DFT (GGA-PBE)
Intensities are scaled so that the largest is 100.

Cell and atoms:
```
data_GdBiN2O
_chemical_formula_sum 'Gd4 Bi4 N8 O4'
_space_group_name_H-M_alt 'P n m a'
_space_group_IT_number 62
_cell_length_a 5.9064
_cell_length_b 8.5679
_cell_length_c 5.6568
_cell_angle_alpha 90.00
_cell_angle_beta 90.00
_cell_angle_gamma 90.00
loop_
_space_group_symop_operation_xyz
'x,y,z'
'-x,-y,-z'
'-x+1/2,-y,z+1/2'
'x+1/2,y,-z+1/2'
'x+1/2,-y+1/2,-z+1/2'
'-x+1/2,y+1/2,z+1/2'
'-x,y+1/2,-z'
'x,-y+1/2,z'
loop_
_atom_site_label
_atom_site_type_symbol
_atom_site_fract_x
_atom_site_fract_y
_atom_site_fract_z
Gd1 Gd 0.0659 0.2500 0.0254
Bi1 Bi 0.0000 0.0000 0.5000
N1 N 0.1970 0.5746 0.8068
O1 O 0.0612 0.7500 0.3580
```

Largest 8 diffraction maxima, low angle first, 10° ≤ 2θ ≤ 80°:
- 30.2 deg, intensity 100.0, hkl 1 2 1
- 31.6 deg, intensity 17.9, hkl 0 0 2
- 42.2 deg, intensity 10.4, hkl 0 4 0
- 44.3 deg, intensity 13.5, hkl 2 0 2
- 52.8 deg, intensity 8.6, hkl 2 4 0
- 53.7 deg, intensity 19.7, hkl 0 4 2
- 55.5 deg, intensity 16.8, hkl 1 2 3
- 62.9 deg, intensity 9.6, hkl 2 4 2